# 1
Starting from a DFT-relaxed cell (PBE+U, Alexandria), the powder XRD pattern of MgV4Ge4O16 was calculated for copper Kα.
Peak positions follow from Bragg's law for the DFT cell and can differ from measured ones.

Cell and atoms:
```
data_MgV4Ge4O16
_chemical_formula_sum 'Mg1 V4 Ge4 O16'
_space_group_name_H-M_alt 'P 1'
_space_group_IT_number 1
_cell_length_a 4.8415
_cell_length_b 5.3446
_cell_length_c 11.1448
_cell_angle_alpha 94.80
_cell_angle_beta 90.91
_cell_angle_gamma 90.69
loop_
_space_group_symop_operation_xyz
'x,y,z'
loop_
_atom_site_label
_atom_site_fract_x
_atom_site_fract_y
_atom_site_fract_z
Mg1 0.0000 0.0000 0.0000
V1 0.0223 0.4702 0.8328
V2 0.4630 0.5152 0.3425
V3 0.4952 0.9948 0.2007
V4 0.9694 0.9734 0.6828
Ge1 0.4537 0.9255 0.8942
Ge2 0.5267 0.4798 0.6082
Ge3 0.9375 0.5301 0.1360
Ge4 0.9530 0.1019 0.4116
O1 0.1526 0.0679 0.5445
O2 0.2262 0.1847 0.3080
O3 0.2353 0.1181 0.8034
O4 0.2534 0.6824 0.9458
O5 0.2550 0.6504 0.2138
O6 0.2587 0.6115 0.7108
O7 0.2967 0.5743 0.4784
O8 0.4025 0.1071 0.0389
O9 0.7121 0.3426 0.4637
O10 0.7118 0.8633 0.3433
O11 0.7293 0.3460 0.2313
O12 0.7309 0.7675 0.6103
O13 0.7486 0.2915 0.7096
O14 0.7894 0.8497 0.8475
O15 0.7921 0.8186 0.1097
O16 0.9074 0.3527 0.9944
```

Principal peaks in the range 2θ from 5° to 70°, in order of rising 2θ:
2θ/deg, I (rel.), hkl
25.63, 81, 1 -1 1
25.76, 96, 1 1 -1
26.32, 87, -1 1 1
26.83, 79, 1 1 1
30.14, 90, 1 0 -3
30.65, 40, 1 0 3
32.25, 31, 0 0 4
33.68, 100, 0 2 0
33.94, 65, 1 -1 3
36.20, 48, 1 1 3
37.13, 46, 2 0 0
51.35, 35, 2 2 0


# 2
Starting from a DFT-relaxed cell (PBE+U, Alexandria), the powder XRD pattern of MgV4Ge4O16 was calculated for copper Kα.
Peak positions follow from Bragg's law for the DFT cell and can differ from measured ones.

Cell and atoms:
```
data_MgV4Ge4O16
_chemical_formula_sum 'Mg1 V4 Ge4 O16'
_space_group_name_H-M_alt 'P 1 2 1'
_space_group_IT_number 3
_cell_length_a 4.6020
_cell_length_b 11.4271
_cell_length_c 4.8365
_cell_angle_alpha 90.00
_cell_angle_beta 90.30
_cell_angle_gamma 90.00
loop_
_space_group_symop_operation_xyz
'x,y,z'
'-x,y,-z'
loop_
_atom_site_label
_atom_site_fract_x
_atom_site_fract_y
_atom_site_fract_z
Mg1 0.0000 0.0000 0.0000
V1 0.0000 0.1474 0.5000
V2 0.0000 0.2784 0.0000
V3 0.5000 0.6369 0.5000
V4 0.5000 0.7647 0.0000
Ge1 0.0000 0.5298 0.0000
Ge2 0.0000 0.8695 0.5000
Ge3 0.5000 0.0338 0.0000
Ge4 0.5000 0.3857 0.5000
O1 0.2163 0.3984 0.1695
O2 0.2296 0.0119 0.6703
O3 0.2445 0.7632 0.6632
O4 0.2447 0.1395 0.1505
O5 0.2471 0.6408 0.1710
O6 0.2532 0.2692 0.6703
O7 0.2741 0.8974 0.1738
O8 0.2835 0.5122 0.6695
```

Principal peaks in the range 2θ from 5° to 70°, in order of rising 2θ:
2θ/deg, I (rel.), hkl
27.81, 100, 1 1 -1
27.95, 100, 1 1 1
30.46, 76, 1 3 0
36.53, 59, 0 4 1
37.18, 32, 0 0 2
41.64, 28, 1 4 1
48.89, 24, 1 3 2
54.54, 48, 2 4 -1
54.70, 48, 2 4 1
54.94, 26, 2 0 -2
55.25, 25, 2 0 2
66.61, 34, 0 4 3


# 3
Starting from a DFT-relaxed cell (PBE+U, Alexandria), the powder XRD pattern of MgV4Ge4O16 was calculated for copper Kα.
Peak positions follow from Bragg's law for the DFT cell and can differ from measured ones.

Cell and atoms:
```
data_MgV4Ge4O16
_chemical_formula_sum 'Mg1 V4 Ge4 O16'
_space_group_name_H-M_alt 'P 1'
_space_group_IT_number 1
_cell_length_a 4.5519
_cell_length_b 4.7680
_cell_length_c 11.5645
_cell_angle_alpha 90.00
_cell_angle_beta 90.13
_cell_angle_gamma 90.56
loop_
_space_group_symop_operation_xyz
'x,y,z'
loop_
_atom_site_label
_atom_site_fract_x
_atom_site_fract_y
_atom_site_fract_z
Mg1 0.0000 0.0000 0.0000
V1 0.0065 0.0098 0.5034
V2 0.0059 0.5095 0.3691
V3 0.4935 0.5013 0.8665
V4 0.5000 0.0138 0.9981
Ge1 0.5047 0.0101 0.2590
Ge2 0.5076 0.5105 0.6142
Ge3 0.9980 0.5052 0.1252
Ge4 0.9990 0.9987 0.7474
O1 0.2286 0.8387 0.6231
O2 0.2339 0.3412 0.2465
O3 0.2347 0.8440 0.8698
O4 0.2370 0.3437 0.0068
O5 0.2550 0.8358 0.3716
O6 0.2561 0.3363 0.4952
O7 0.2684 0.8433 0.1273
O8 0.2839 0.3336 0.7387
O9 0.7287 0.6778 0.7375
O10 0.7425 0.1720 0.1295
O11 0.7524 0.6656 0.0041
O12 0.7561 0.1826 0.3721
O13 0.7560 0.6816 0.4945
O14 0.7617 0.1604 0.8707
O15 0.7751 0.6767 0.2464
O16 0.7827 0.1762 0.6234
```

Principal peaks in the range 2θ from 5° to 70°, in order of rising 2θ:
2θ/deg, I (rel.), hkl
28.05, 100, -1 1 1
28.31, 97, 1 1 1
30.39, 65, 1 0 -3
36.34, 60, 0 1 -4
37.74, 27, 0 2 0
43.91, 24, 1 0 5
54.62, 23, -2 1 4
54.74, 23, 2 -1 4
55.04, 22, 2 1 4
55.56, 22, 2 -2 0
56.15, 22, 2 2 0
67.22, 31, 0 3 -4


# 4
Starting from a DFT-relaxed cell (PBE+U, Alexandria), the powder XRD pattern of MgV4Ge4O16 was calculated for copper Kα.
Peak positions follow from Bragg's law for the DFT cell and can differ from measured ones.

Cell and atoms:
```
data_MgV4Ge4O16
_chemical_formula_sum 'Mg1 V4 Ge4 O16'
_space_group_name_H-M_alt 'P 1'
_space_group_IT_number 1
_cell_length_a 4.3389
_cell_length_b 4.6205
_cell_length_c 12.9022
_cell_angle_alpha 94.08
_cell_angle_beta 90.01
_cell_angle_gamma 90.41
loop_
_space_group_symop_operation_xyz
'x,y,z'
loop_
_atom_site_label
_atom_site_fract_x
_atom_site_fract_y
_atom_site_fract_z
Mg1 0.0000 0.0000 0.0000
V1 0.1351 0.8166 0.4985
V2 0.1411 0.3391 0.6218
V3 0.4908 0.5756 0.0091
V4 0.6075 0.2283 0.1730
Ge1 0.1002 0.4056 0.8373
Ge2 0.1226 0.7660 0.2683
Ge3 0.6313 0.8720 0.7401
Ge4 0.6386 0.3008 0.3999
O1 0.3567 0.6202 0.3880
O2 0.3605 0.5579 0.1638
O3 0.3662 0.1905 0.7395
O4 0.3832 0.6715 0.6241
O5 0.3922 0.1461 0.5070
O6 0.4103 0.0901 0.2869
O7 0.4191 0.6809 0.8533
O8 0.4856 0.0823 0.0314
O9 0.8502 0.4467 0.2827
O10 0.8765 0.0681 0.8507
O11 0.8794 0.4909 0.5074
O12 0.8831 0.0192 0.6235
O13 0.8909 0.5456 0.7324
O14 0.9070 0.9652 0.3881
O15 0.9271 0.9489 0.1586
O16 0.9965 0.5288 0.9761
```

Principal peaks in the range 2θ from 5° to 70°, in order of rising 2θ:
2θ/deg, I (rel.), hkl
6.87, 21, 0 0 1
28.67, 39, 1 -1 1
28.87, 38, 1 1 -1
29.31, 100, -1 1 1
29.54, 40, 1 1 1
35.13, 23, 0 1 4
38.86, 19, 0 1 -5
39.22, 19, 0 2 -1
40.76, 19, 1 0 5
55.44, 18, -2 1 4
58.32, 19, 2 1 -5
58.69, 18, 2 2 0


# 5
Starting from a DFT-relaxed cell (PBE+U, Alexandria), the powder XRD pattern of MgVGe2O6 was calculated for copper Kα.
Peak positions follow from Bragg's law for the DFT cell and can differ from measured ones.

Cell and atoms:
```
data_MgVGe2O6
_chemical_formula_sum 'Mg4 V4 Ge8 O24'
_space_group_name_H-M_alt 'C 1 2/c 1'
_space_group_IT_number 15
_cell_length_a 9.7996
_cell_length_b 9.2256
_cell_length_c 5.2632
_cell_angle_alpha 90.00
_cell_angle_beta 100.52
_cell_angle_gamma 90.00
loop_
_space_group_symop_operation_xyz
'x,y,z'
'-x,-y,-z'
'-x,y,-z+1/2'
'x,-y,z+1/2'
'x+1/2,y+1/2,z'
'-x+1/2,-y+1/2,-z'
'-x+1/2,y+1/2,-z+1/2'
'x+1/2,-y+1/2,z+1/2'
loop_
_atom_site_label
_atom_site_fract_x
_atom_site_fract_y
_atom_site_fract_z
Mg1 0.0000 0.2284 0.2500
V1 0.0000 0.4074 0.7500
Ge1 0.1981 0.0936 0.7893
O1 0.1152 0.2371 0.6146
O2 0.1183 0.4048 0.1393
O3 0.1407 0.0698 0.1000
```

Principal peaks in the range 2θ from 5° to 70°, in order of rising 2θ:
2θ/deg, I (rel.), hkl
20.36, 25, 1 1 -1
25.88, 51, 0 2 1
29.45, 100, 3 1 0
30.01, 76, 2 2 -1
31.51, 21, 3 1 -1
33.79, 86, 2 2 1
34.33, 69, 1 3 -1
34.67, 54, 0 0 2
41.80, 34, 3 1 -2
56.40, 29, 5 3 -1
60.78, 38, 1 3 -3
62.21, 55, 5 3 1